No. 1
Structure and computed powder X-ray diffraction pattern of Ce2BeSnPd6 (DFT lattice parameters and positions (PBE); Cu Kα).
Intensities are scaled so that the largest is 100.

Main lines, in order of rising 2θ (5° ≤ 2θ ≤ 70°):
2theta, d (Å), I_rel, index
26.4, 3.381, 37, 0 0 2
34.1, 2.632, 50, 2 1 2
35.3, 2.545, 73, 0 1 2
36.6, 2.458, 75, 0 2 -1
37.5, 2.397, 43, 2 0 2
40.2, 2.242, 100, 2 0 0
40.5, 2.226, 55, 0 1 -3
43.1, 2.098, 41, 2 2 -1

Crystal structure
Cell lengths 5.7151, 5.7384, 7.4724 Å; angles 88.50, 67.57, 60.15 degrees
Space group P-1 (No. 2)
Unique sites:
Ce (0.0571, 0.1742, 0.2104) (multiplicity 2)
Be (0.5000, 0.0000, 0.5000) (multiplicity 1)
Sn (0.5000, 0.5000, 0.0000) (multiplicity 1)
Pd (0.0151, 0.3183, 0.6455) (multiplicity 2)
Pd (0.4225, 0.8752, 0.7812) (multiplicity 2)
Pd (0.4776, 0.6820, 0.3549) (multiplicity 2)

No. 2
Structure and computed powder X-ray diffraction pattern of NaOsPbO5 (DFT lattice parameters and positions (PBE); Cu Kα).
Intensities are scaled so that the largest is 100.

Main lines, in order of rising 2θ (5° ≤ 2θ ≤ 70°):
2theta, d (Å), I_rel, index
16.0, 5.541, 45, 1 1 0
16.9, 5.232, 63, 1 1 -1
22.2, 4.007, 36, 1 1 1
24.2, 3.672, 75, 1 1 -2
27.8, 3.208, 68, 2 0 0
28.0, 3.181, 100, 1 3 0
28.3, 3.155, 96, 0 2 2
34.3, 2.616, 47, 2 2 -2

Crystal structure
Cell lengths 6.7678, 10.9892, 8.1310 Å; angles 90.00, 108.56, 90.00 degrees
Space group C2/c (No. 15)
Unique sites:
Na (0.0000, 0.2113, 0.2500) (multiplicity 4)
Os (0.0000, 0.1903, 0.7500) (multiplicity 4)
Pb (0.0000, 0.5000, 0.0000) (multiplicity 4)
O (0.0000, 0.4192, 0.2500) (multiplicity 4)
O (0.1219, 0.0918, 0.9265) (multiplicity 8)
O (0.1284, 0.2980, 0.6498) (multiplicity 8)

No. 3
Structure and computed powder X-ray diffraction pattern of InSi8 (DFT lattice parameters and positions (PBE); Cu Kα).
Intensities are scaled so that the largest is 100.

Main lines, in order of rising 2θ (5° ≤ 2θ ≤ 70°):
2theta, d (Å), I_rel, index
13.2, 6.695, 29, 1 1 0
18.7, 4.734, 16, 2 0 0
26.6, 3.348, 20, 2 2 0
28.7, 3.111, 19, 1 0 1
29.8, 2.994, 17, 3 1 0
34.5, 2.600, 23, 2 1 1
39.5, 2.279, 100, 3 0 1
40.4, 2.232, 45, 3 3 0

Crystal structure
Cell lengths 9.4688, 9.4688, 3.2936 Å; angles 90.00, 90.00, 90.00 degrees
Space group I4/mmm (No. 139)
Unique sites:
In (0.0000, 0.0000, 0.0000) (multiplicity 2)
Si (0.0000, 0.3442, 0.0000) (multiplicity 8)
Si (0.1829, 0.1829, 0.5000) (multiplicity 8)

No. 4
Structure and computed powder X-ray diffraction pattern of Mg7Cd2Pb2 (DFT lattice parameters and positions (PBE); Cu Kα).
Intensities are scaled so that the largest is 100.

Main lines, in order of rising 2θ (5° ≤ 2θ ≤ 70°):
2theta, d (Å), I_rel, index
20.3, 4.370, 100, 0 2 1
22.1, 4.025, 38, 0 0 2
28.6, 3.122, 70, 2 0 1
31.5, 2.839, 21, 2 2 0
34.5, 2.602, 27, 0 4 0
37.7, 2.385, 37, 0 2 3
38.8, 2.320, 66, 2 2 2
45.4, 1.999, 37, 2 4 1

Crystal structure
Cell lengths 6.7747, 10.4073, 8.0507 Å; angles 90.00, 90.00, 90.00 degrees
Space group Cmmm (No. 65)
Unique sites:
Mg (0.0000, 0.0000, 0.0000) (multiplicity 2)
Mg (0.0000, 0.5000, 0.1977) (multiplicity 4)
Mg (0.2500, 0.2500, 0.2981) (multiplicity 8)
Cd (0.0000, 0.2698, 0.0000) (multiplicity 4)
Pb (0.2321, 0.0000, 0.5000) (multiplicity 4)

What did the third record say?
Structure and computed powder X-ray diffraction pattern of InSi8 (DFT lattice parameters and positions (PBE); Cu Kα).
Intensities are scaled so that the largest is 100.

Main lines, in order of rising 2θ (5° ≤ 2θ ≤ 70°):
2theta, d (Å), I_rel, index
13.2, 6.695, 29, 1 1 0
18.7, 4.734, 16, 2 0 0
26.6, 3.348, 20, 2 2 0
28.7, 3.111, 19, 1 0 1
29.8, 2.994, 17, 3 1 0
34.5, 2.600, 23, 2 1 1
39.5, 2.279, 100, 3 0 1
40.4, 2.232, 45, 3 3 0

Crystal structure
Cell lengths 9.4688, 9.4688, 3.2936 Å; angles 90.00, 90.00, 90.00 degrees
Space group I4/mmm (No. 139)
Unique sites:
In (0.0000, 0.0000, 0.0000) (multiplicity 2)
Si (0.0000, 0.3442, 0.0000) (multiplicity 8)
Si (0.1829, 0.1829, 0.5000) (multiplicity 8)